[1]
For Hf5Fe2, DFT lattice parameters and positions (PBE) gives the calculated X-ray powder pattern in this record (Cu Kα (weighted mean of Kα1 and Kα2)).
Kinematic intensities with the Lorentz-polarization factor, no thermal factor.

Peak list (8 most intense, 2θ = 10–90°, in order of rising 2θ)
two_theta  I/Imax
32.4  43
33.9  70
34.4  100
35.8  36
35.9  36
36.6  32
38.6  26
38.9  36

Cell and atoms:
a b c (Å): 7.8812 7.8812 6.3101
angles (deg): 95.53 95.53 43.45
Element x y z (fractional)
Hf (0.0707, 0.9293, 0.7500)
Hf (0.1527, 0.2887, 0.3128)
Hf (0.2887, 0.1527, 0.8128)
Hf (0.2918, 0.5226, 0.0807)
Hf (0.4774, 0.7082, 0.4193)
Hf (0.5226, 0.2918, 0.5807)
Hf (0.7082, 0.4774, 0.9193)
Hf (0.7113, 0.8473, 0.1872)
Hf (0.8473, 0.7113, 0.6872)
Hf (0.9293, 0.0707, 0.2500)
Fe (0.0986, 0.6789, 0.4302)
Fe (0.3211, 0.9014, 0.0698)
Fe (0.6789, 0.0986, 0.9302)
Fe (0.9014, 0.3211, 0.5698)



[2]
For ZrTl2ZnHg, DFT lattice parameters and positions (PBE) gives the calculated X-ray powder pattern in this record (Cu Kα (weighted mean of Kα1 and Kα2)).
Kinematic intensities with the Lorentz-polarization factor, no thermal factor.

Peak list (8 most intense, 2θ = 10–90°, in order of rising 2θ)
two_theta  I/Imax
17.1  16
30.4  100
34.6  54
36.4  24
49.7  19
51.1  36
59.4  31
63.2  19

Cell and atoms:
a b c (Å): 5.1839 5.1839 4.9405
angles (deg): 90.00 90.00 90.00
Element x y z (fractional)
Zr (0.0000, 0.0000, 0.0000)
Tl (0.0000, 0.5000, 0.5000)
Tl (0.5000, 0.0000, 0.5000)
Zn (0.5000, 0.5000, 0.5000)
Hg (0.5000, 0.5000, 0.0000)



[3]
For Sr3GeN3, DFT lattice parameters and positions (PBE) gives the calculated X-ray powder pattern in this record (Cu Kα (weighted mean of Kα1 and Kα2)).
Kinematic intensities with the Lorentz-polarization factor, no thermal factor.

Peak list (8 most intense, 2θ = 10–90°, in order of rising 2θ)
two_theta  I/Imax
28.1  100
30.4  79
32.4  63
32.8  25
33.3  69
48.4  38
55.1  24
61.0  29

Cell and atoms:
a b c (Å): 8.6980 8.6980 10.3935
angles (deg): 90.00 90.00 39.76
Element x y z (fractional)
Sr (0.0254, 0.3405, 0.8610)
Sr (0.1252, 0.8748, 0.8426)
Sr (0.1595, 0.4746, 0.6390)
Sr (0.3405, 0.0254, 0.1390)
Sr (0.3748, 0.6252, 0.3426)
Sr (0.4746, 0.1595, 0.3610)
Sr (0.5254, 0.8405, 0.6390)
Sr (0.6252, 0.3748, 0.6574)
Sr (0.6595, 0.9746, 0.8610)
Sr (0.8405, 0.5254, 0.3610)
Sr (0.8748, 0.1252, 0.1574)
Sr (0.9746, 0.6595, 0.1390)
Ge (0.0863, 0.0863, 0.5000)
Ge (0.4137, 0.4137, 0.0000)
Ge (0.5863, 0.5863, 0.0000)
Ge (0.9137, 0.9137, 0.5000)
N (0.0381, 0.6634, 0.3873)
N (0.1634, 0.5381, 0.8873)
N (0.1867, 0.8133, 0.5876)
N (0.3133, 0.6867, 0.0876)
N (0.3366, 0.9619, 0.3873)
N (0.4619, 0.8366, 0.8873)
N (0.5381, 0.1634, 0.1127)
N (0.6634, 0.0381, 0.6127)
N (0.6867, 0.3133, 0.9124)
N (0.8133, 0.1867, 0.4124)
N (0.8366, 0.4619, 0.1127)
N (0.9619, 0.3366, 0.6127)



[4]
For SrMo3Pt, DFT lattice parameters and positions (PBE) gives the calculated X-ray powder pattern in this record (Cu Kα (weighted mean of Kα1 and Kα2)).
Kinematic intensities with the Lorentz-polarization factor, no thermal factor.

Peak list (8 most intense, 2θ = 10–90°, in order of rising 2θ)
two_theta  I/Imax
18.0  71
25.5  50
36.4  100
40.9  36
45.0  23
52.5  69
65.5  23
88.7  33

Cell and atoms:
a b c (Å): 4.9341 4.9341 4.9341
angles (deg): 90.00 90.00 90.00
Element x y z (fractional)
Sr (0.0000, 0.0000, 0.0000)
Mo (0.0000, 0.5000, 0.5000)
Mo (0.5000, 0.0000, 0.5000)
Mo (0.5000, 0.5000, 0.0000)
Pt (0.5000, 0.5000, 0.5000)



[5]
For Tb3PmBi2, DFT lattice parameters and positions (PBE) gives the calculated X-ray powder pattern in this record (Cu Kα (weighted mean of Kα1 and Kα2)).
Kinematic intensities with the Lorentz-polarization factor, no thermal factor.

Peak list (8 most intense, 2θ = 10–90°, in order of rising 2θ)
two_theta  I/Imax
27.5  26
29.4  83
30.7  42
34.4  100
36.5  24
39.3  61
50.7  42
68.1  28

Cell and atoms:
a b c (Å): 4.5852 4.5852 8.7406
angles (deg): 90.00 90.00 90.00
Element x y z (fractional)
Tb (0.0000, 0.0000, 0.0000)
Tb (0.0000, 0.5000, 0.6517)
Tb (0.5000, 0.0000, 0.3483)
Pm (0.5000, 0.5000, 0.0000)
Bi (0.0000, 0.5000, 0.2858)
Bi (0.5000, 0.0000, 0.7142)



[6]
For Ti3CdPd6, DFT lattice parameters and positions (PBE) gives the calculated X-ray powder pattern in this record (Cu Kα (weighted mean of Kα1 and Kα2)).
Kinematic intensities with the Lorentz-polarization factor, no thermal factor.

Peak list (8 most intense, 2θ = 10–90°, in order of rising 2θ)
two_theta  I/Imax
19.2  17
37.0  100
39.6  69
40.4  39
41.0  19
43.0  19
43.3  23
45.5  18

Cell and atoms:
a b c (Å): 7.2155 7.2155 7.2022
angles (deg): 90.00 90.00 113.94
Element x y z (fractional)
Ti (0.0818, 0.9182, 0.5000)
Ti (0.1970, 0.3815, 0.3370)
Ti (0.3815, 0.1970, 0.8370)
Ti (0.6185, 0.8030, 0.3370)
Ti (0.8030, 0.6185, 0.8370)
Ti (0.9182, 0.0818, 0.0000)
Cd (0.3100, 0.6900, 0.7001)
Cd (0.6900, 0.3100, 0.2001)
Pd (0.0628, 0.4734, 0.9964)
Pd (0.1055, 0.2509, 0.6676)
Pd (0.2509, 0.1055, 0.1676)
Pd (0.2596, 0.7404, 0.2683)
Pd (0.4668, 0.5332, 0.0490)
Pd (0.4734, 0.0628, 0.4964)
Pd (0.5266, 0.9372, 0.9964)
Pd (0.5332, 0.4668, 0.5490)
Pd (0.7404, 0.2596, 0.7683)
Pd (0.7491, 0.8945, 0.6676)
Pd (0.8945, 0.7491, 0.1676)
Pd (0.9372, 0.5266, 0.4964)



[7]
For CdTcAu2, DFT lattice parameters and positions (PBE) gives the calculated X-ray powder pattern in this record (Cu Kα (weighted mean of Kα1 and Kα2)).
Kinematic intensities with the Lorentz-polarization factor, no thermal factor.

Peak list (8 most intense, 2θ = 10–90°, in order of rising 2θ)
two_theta  I/Imax
18.6  15
37.7  32
37.8  100
43.9  64
63.7  19
63.9  22
76.6  37
80.7  11

Cell and atoms:
a b c (Å): 9.6998 9.6998 9.6998
angles (deg): 17.28 17.28 17.28
Element x y z (fractional)
Cd (0.0000, 0.0000, 0.0000)
Tc (0.5000, 0.5000, 0.5000)
Au (0.2457, 0.2457, 0.2457)
Au (0.7543, 0.7543, 0.7543)



[8]
For K4Ag5Sn, DFT lattice parameters and positions (PBE) gives the calculated X-ray powder pattern in this record (Cu Kα (weighted mean of Kα1 and Kα2)).
Kinematic intensities with the Lorentz-polarization factor, no thermal factor.

Peak list (8 most intense, 2θ = 10–90°, in order of rising 2θ)
two_theta  I/Imax
12.3  100
15.6  18
15.8  17
27.8  42
34.6  22
36.2  16
38.6  29
39.7  17

Cell and atoms:
a b c (Å): 6.7897 7.9095 7.9183
angles (deg): 79.72 65.06 65.27
Element x y z (fractional)
K (0.0000, 0.0000, 0.0000)
K (0.1619, 0.2125, 0.4549)
K (0.3885, 0.3787, 0.8340)
K (0.7736, 0.8345, 0.6196)
Ag (0.4013, 0.7266, 0.4916)
Ag (0.5223, 0.8706, 0.1053)
Ag (0.6614, 0.3403, 0.3487)
Ag (0.7823, 0.4846, 0.9621)
Ag (0.8917, 0.6050, 0.2275)
Sn (0.3011, 0.6072, 0.2269)



[9]
For Mg6TlHg6, DFT lattice parameters and positions (PBE) gives the calculated X-ray powder pattern in this record (Cu Kα (weighted mean of Kα1 and Kα2)).
Kinematic intensities with the Lorentz-polarization factor, no thermal factor.

Peak list (8 most intense, 2θ = 10–90°, in order of rising 2θ)
two_theta  I/Imax
18.9  56
25.2  56
33.3  100
34.6  45
38.3  25
38.5  80
51.6  53
73.0  24

Cell and atoms:
a b c (Å): 6.2169 6.2169 9.3993
angles (deg): 90.00 90.00 120.00
Element x y z (fractional)
Mg (0.0000, 0.0000, 0.1658)
Mg (0.0000, 0.0000, 0.8342)
Mg (0.3333, 0.6667, 0.0000)
Mg (0.3333, 0.6667, 0.5000)
Mg (0.6667, 0.3333, 0.0000)
Mg (0.6667, 0.3333, 0.5000)
Tl (0.0000, 0.0000, 0.5000)
Hg (0.0000, 0.5000, 0.2485)
Hg (0.0000, 0.5000, 0.7515)
Hg (0.5000, 0.0000, 0.2485)
Hg (0.5000, 0.0000, 0.7515)
Hg (0.5000, 0.5000, 0.2485)
Hg (0.5000, 0.5000, 0.7515)



[10]
For KCd2I2, DFT lattice parameters and positions (PBE) gives the calculated X-ray powder pattern in this record (Cu Kα (weighted mean of Kα1 and Kα2)).
Kinematic intensities with the Lorentz-polarization factor, no thermal factor.

Peak list (8 most intense, 2θ = 10–90°, in order of rising 2θ)
two_theta  I/Imax
21.3  51
24.8  29
26.8  39
30.7  70
31.0  91
34.8  100
42.4  46
55.2  42

Cell and atoms:
a b c (Å): 10.4160 10.4160 10.4160
angles (deg): 156.38 156.38 33.65
Element x y z (fractional)
K (0.0000, 0.0000, 0.0000)
Cd (0.2500, 0.7500, 0.5000)
Cd (0.7500, 0.2500, 0.5000)
I (0.3951, 0.3951, 0.0000)
I (0.6049, 0.6049, 0.0000)



[11]
For KAlNi2H8, DFT lattice parameters and positions (PBE) gives the calculated X-ray powder pattern in this record (Cu Kα (weighted mean of Kα1 and Kα2)).
Kinematic intensities with the Lorentz-polarization factor, no thermal factor.

Peak list (8 most intense, 2θ = 10–90°, in order of rising 2θ)
two_theta  I/Imax
13.7  90
23.2  24
29.3  68
32.5  75
39.9  100
42.4  26
49.2  21
52.7  34

Cell and atoms:
a b c (Å): 6.9721 6.9721 6.9721
angles (deg): 37.76 37.76 37.76
Element x y z (fractional)
K (0.0000, 0.0000, 0.0000)
Al (0.5000, 0.5000, 0.5000)
Ni (0.2021, 0.2021, 0.2021)
Ni (0.7979, 0.7979, 0.7979)
H (0.1228, 0.4358, 0.7854)
H (0.2146, 0.8772, 0.5642)
H (0.2790, 0.2790, 0.2790)
H (0.4358, 0.7854, 0.1228)
H (0.5642, 0.2146, 0.8772)
H (0.7210, 0.7210, 0.7210)
H (0.7854, 0.1228, 0.4358)
H (0.8772, 0.5642, 0.2146)



[12]
For Ce3Pt2, DFT lattice parameters and positions (PBE) gives the calculated X-ray powder pattern in this record (Cu Kα (weighted mean of Kα1 and Kα2)).
Kinematic intensities with the Lorentz-polarization factor, no thermal factor.

Peak list (8 most intense, 2θ = 10–90°, in order of rising 2θ)
two_theta  I/Imax
28.6  49
31.6  100
32.9  53
33.8  54
34.6  49
36.0  53
39.1  47
45.7  70

Cell and atoms:
a b c (Å): 11.6923 3.9665 11.2346
angles (deg): 90.00 90.00 90.00
Element x y z (fractional)
Ce (0.0574, 0.2500, 0.1388)
Ce (0.1294, 0.7500, 0.5510)
Ce (0.2246, 0.2500, 0.8082)
Ce (0.2754, 0.7500, 0.3082)
Ce (0.3706, 0.2500, 0.0510)
Ce (0.4426, 0.7500, 0.6388)
Ce (0.5574, 0.2500, 0.3612)
Ce (0.6294, 0.7500, 0.9490)
Ce (0.7246, 0.2500, 0.6918)
Ce (0.7754, 0.7500, 0.1918)
Ce (0.8706, 0.2500, 0.4490)
Ce (0.9426, 0.7500, 0.8612)
Pt (0.0013, 0.7500, 0.3199)
Pt (0.1738, 0.7500, 0.9923)
Pt (0.3262, 0.2500, 0.4923)
Pt (0.4987, 0.2500, 0.8199)
Pt (0.5013, 0.7500, 0.1801)
Pt (0.6738, 0.7500, 0.5077)
Pt (0.8262, 0.2500, 0.0077)
Pt (0.9987, 0.2500, 0.6801)